[1]
Computed X-ray powder pattern of Sm2CN2O2 for Cu Kα X-rays, from a structure optimized by DFT (GGA-PBE).
Kinematic intensities with the Lorentz-polarization factor, no thermal factor.

Cell and atoms:
```
Sm2CN2O2
1.0
3.856 0.000 0.000
-1.928 3.339 0.000
0.000 0.000 8.308
Sm C N O
2 1 2 2
Cartesian
0.000 2.226 1.488
1.928 1.113 6.820
0.000 0.000 4.154
0.000 0.000 2.917
0.000 0.000 5.391
0.000 2.226 7.451
1.928 1.113 0.858
```

Largest 10 diffraction maxima, by angle, 5° ≤ 2θ ≤ 70°:
10.65 deg, I 45
21.39 deg, I 18
26.70 deg, I 17
28.82 deg, I 100
32.33 deg, I 18
34.46 deg, I 42
42.40 deg, I 21
47.14 deg, I 29
51.84 deg, I 24
58.32 deg, I 20

***

[2]
Computed X-ray powder pattern of UC3NO8 for Cu Kα X-rays, from a structure optimized by DFT (GGA-PBE).
Kinematic intensities with the Lorentz-polarization factor, no thermal factor.

Cell and atoms:
```
UC3NO8
1.0
6.465 0.000 0.000
0.000 14.455 0.000
-6.065 0.000 9.681
U C N O
4 12 4 32
Cartesian
-2.502 3.557 4.108
-5.535 3.670 8.948
5.936 10.785 0.733
2.903 10.898 5.573
-4.602 7.520 9.554
-1.569 14.163 4.713
-3.272 1.505 8.323
-0.239 5.723 3.482
-2.453 2.766 8.752
0.580 4.462 3.912
-0.179 9.993 5.769
2.853 11.689 0.929
0.640 8.733 6.198
3.672 12.950 1.358
1.970 0.292 4.968
5.003 6.936 0.127
0.426 0.407 2.101
-2.606 6.821 6.942
3.007 7.635 2.739
-0.025 14.048 7.579
-4.545 1.698 8.585
-1.512 5.529 3.745
-0.538 10.410 2.485
-3.571 11.273 7.325
0.458 3.519 1.055
-2.574 3.708 5.896
-1.442 0.848 4.456
-4.474 6.380 9.296
1.336 8.655 0.134
-1.696 13.028 4.975
-2.775 0.536 7.767
0.257 6.692 2.926
-1.440 9.977 5.784
1.593 11.705 0.944
-0.145 3.463 4.218
-3.178 3.764 9.059
3.578 10.691 0.622
0.546 10.992 5.463
-1.192 2.750 8.737
1.840 4.478 3.897
0.143 7.763 6.755
3.176 13.920 1.914
2.097 1.427 4.706
-0.936 5.801 9.547
4.875 8.076 0.385
1.843 13.607 5.225
2.975 10.747 3.785
-0.058 10.936 8.625
3.971 3.182 2.356
0.939 4.046 7.196
1.913 8.926 5.936
4.945 12.757 1.096
```

Largest 10 diffraction maxima, by angle, 5° ≤ 2θ ≤ 70°:
12.25 deg, I 100
16.18 deg, I 47
17.90 deg, I 46
19.34 deg, I 72
20.34 deg, I 54
24.63 deg, I 27
25.03 deg, I 30
28.31 deg, I 30
29.61 deg, I 21
35.03 deg, I 23

***

[3]
Computed X-ray powder pattern of UC3N4O11 for Cu Kα X-rays, from a structure optimized by DFT (GGA-PBE).
Kinematic intensities with the Lorentz-polarization factor, no thermal factor.

Cell and atoms:
```
UC3N4O11
1.0
5.616 -4.842 0.000
5.616 4.842 0.000
-0.935 0.000 13.251
U C N O
2 6 8 22
Cartesian
4.915 2.965 9.938
5.383 -2.965 3.313
1.185 0.427 1.244
0.718 -0.427 7.870
4.915 0.042 9.938
5.383 -0.042 3.313
9.580 0.427 5.381
9.112 -0.427 12.007
1.203 1.560 11.333
3.998 1.671 6.056
1.671 -1.560 4.708
6.767 1.671 0.569
3.531 -1.671 12.682
8.627 1.560 8.543
6.299 -1.671 7.194
9.094 -1.560 1.918
0.157 0.215 8.829
3.372 2.956 9.027
3.669 3.145 12.076
0.625 -0.215 2.204
1.431 0.193 6.993
1.898 -0.193 0.368
6.162 3.145 7.800
6.458 2.956 10.849
5.383 1.242 3.313
4.423 0.695 10.921
5.407 0.695 8.955
4.891 -0.695 4.296
5.874 -0.695 2.330
4.915 -1.242 9.938
3.839 -2.956 2.402
4.136 -3.145 5.451
8.400 0.193 12.883
8.867 -0.193 6.258
9.673 0.215 11.047
6.629 -3.145 1.175
6.926 -2.956 4.224
10.140 -0.215 4.422
```

Largest 10 diffraction maxima, by angle, 5° ≤ 2θ ≤ 70°:
12.08 deg, I 29
13.36 deg, I 58
13.54 deg, I 100
14.08 deg, I 98
15.82 deg, I 58
21.48 deg, I 43
26.89 deg, I 24
31.62 deg, I 31
35.68 deg, I 30
41.40 deg, I 34